Entry 1:
For Tb7MnI12, the GGA-PBE geometry in the Materials Project gives the theoretical PXRD pattern in this record (a wavelength of 1.5418 Å).

Main lines, by angle (15° ≤ 2θ ≤ 90°):
2θ (°), d (Å), I (rel.)
28.65, 3.116, 100
40.72, 2.216, 34
41.19, 2.192, 35
50.94, 1.793, 18
59.31, 1.558, 14
67.50, 1.388, 13

Structural model:
a b c (Å): 9.8228 9.8228 9.8228
angles (deg): 107.11 107.11 107.11
Sites, in units of the cell vectors:
Tb 0.0000 0.0000 0.0000
Tb 0.2103 0.4772 0.4077
Tb 0.4077 0.2103 0.4772
Tb 0.4772 0.4077 0.2103
Tb 0.5228 0.5923 0.7897
Tb 0.5923 0.7897 0.5228
Tb 0.7897 0.5228 0.5923
Mn 0.5000 0.5000 0.5000
I 0.0385 0.1150 0.3394
I 0.1150 0.3394 0.0385
I 0.1836 0.5735 0.7241
I 0.2759 0.8164 0.4265
I 0.3394 0.0385 0.1150
I 0.4265 0.2759 0.8164
I 0.5735 0.7241 0.1836
I 0.6606 0.9615 0.8850
I 0.7241 0.1836 0.5735
I 0.8164 0.4265 0.2759
I 0.8850 0.6606 0.9615
I 0.9615 0.8850 0.6606

---

Entry 2:
For SmPRu2C, the GGA-PBE geometry in the Materials Project gives the theoretical PXRD pattern in this record (a wavelength of 1.5418 Å).

Main lines, by angle (15° ≤ 2θ ≤ 90°):
2θ (°), d (Å), I (rel.)
29.84, 2.994, 36
33.68, 2.661, 78
34.94, 2.568, 40
35.20, 2.550, 100
36.02, 2.493, 34
41.38, 2.182, 43

Structural model:
a b c (Å): 5.8345 5.8345 7.1346
angles (deg): 90.00 90.00 141.32
Sites, in units of the cell vectors:
Sm 0.0462 0.9538 0.7500
Sm 0.9538 0.0462 0.2500
P 0.2299 0.7701 0.2500
P 0.7701 0.2299 0.7500
Ru 0.3335 0.6665 0.5543
Ru 0.3335 0.6665 0.9457
Ru 0.6665 0.3335 0.0543
Ru 0.6665 0.3335 0.4457
C 0.5000 0.5000 0.0000
C 0.5000 0.5000 0.5000

---

Entry 3:
For CdSn, the GGA-PBE geometry in the Materials Project gives the theoretical PXRD pattern in this record (a wavelength of 1.5418 Å).

Main lines, by angle (15° ≤ 2θ ≤ 90°):
2θ (°), d (Å), I (rel.)
30.92, 2.892, 24
33.09, 2.707, 26
35.18, 2.551, 100
54.99, 1.670, 18
60.47, 1.531, 21
65.70, 1.421, 21

Structural model:
a b c (Å): 3.3400 3.3400 5.4138
angles (deg): 90.00 90.00 120.00
Sites, in units of the cell vectors:
Cd 0.0000 0.0000 0.0000
Sn 0.6667 0.3333 0.5000

---

Entry 4:
For Rb4MgSe4O14, the GGA-PBE geometry in the Materials Project gives the theoretical PXRD pattern in this record (a wavelength of 1.5418 Å).

Main lines, by angle (15° ≤ 2θ ≤ 90°):
2θ (°), d (Å), I (rel.)
21.70, 4.096, 75
24.10, 3.693, 100
24.99, 3.563, 85
26.55, 3.358, 94
26.88, 3.317, 61
28.02, 3.185, 67

Structural model:
a b c (Å): 8.2561 8.2561 8.1270
angles (deg): 95.51 95.51 59.42
Sites, in units of the cell vectors:
Rb 0.1511 0.1511 0.4032
Rb 0.1524 0.5441 0.1960
Rb 0.4559 0.8476 0.8040
Rb 0.8489 0.8489 0.5968
Mg 0.5674 0.4326 0.0000
Se 0.3953 0.3925 0.6415
Se 0.6075 0.6047 0.3585
Se 0.7661 0.0261 0.1110
Se 0.9739 0.2339 0.8890
O 0.0359 0.0912 0.7221
O 0.1521 0.2030 0.0170
O 0.1737 0.4732 0.5560
O 0.3635 0.5252 0.8319
O 0.4748 0.6365 0.1681
O 0.4781 0.1686 0.6973
O 0.5268 0.8263 0.4440
O 0.5304 0.4696 0.5000
O 0.5477 0.2031 0.1332
O 0.7969 0.4523 0.8668
O 0.7970 0.8479 0.9830
O 0.8190 0.1810 0.0000
O 0.8314 0.5219 0.3027
O 0.9088 0.9641 0.2779

---

Entry 5:
For Er4CdS7, the GGA-PBE geometry in the Materials Project gives the theoretical PXRD pattern in this record (a wavelength of 1.5418 Å).

Main lines, by angle (15° ≤ 2θ ≤ 90°):
2θ (°), d (Å), I (rel.)
24.23, 3.673, 100
24.64, 3.612, 93
28.27, 3.157, 76
31.77, 2.816, 51
33.41, 2.682, 56
34.60, 2.592, 48

Structural model:
a b c (Å): 6.5983 6.5983 11.5310
angles (deg): 104.25 104.25 33.51
Sites, in units of the cell vectors:
Er 0.0000 0.0000 0.0000
Er 0.3861 0.3861 0.6058
Er 0.5782 0.5782 0.3734
Er 0.6932 0.6932 0.8034
Cd 0.8082 0.8082 0.2227
S 0.0332 0.0332 0.7496
S 0.1919 0.1919 0.3038
S 0.3526 0.3526 0.8513
S 0.4366 0.4366 0.1537
S 0.6542 0.6542 0.0176
S 0.7321 0.7321 0.5867
S 0.9519 0.9519 0.4491